1.
Theoretical X-ray diffraction stick pattern of Tb6Nd2TmMg for λ = 1.5418 Å (Cu Kα), from a structure optimized by DFT (GGA-PBE).

Most intense lines, 2θ from 5° to 70°, sorted by position:
two_theta	d_spacing	I/Imax
27.7	3.217	28
28.6	3.120	11
30.4	2.940	9
30.7	2.915	12
31.8	2.812	59
32.8	2.729	100
33.1	2.708	33
46.1	1.970	11
55.9	1.645	14
56.2	1.636	16

Cell and atoms:
```
Tb6Nd2TmMg
1.0
4.951 -9.863 0.000
4.951 9.863 0.000
-0.990 0.000 6.541
Tb Nd Tm Mg
12 4 2 2
direct
0.084 0.561 0.277
0.089 0.795 0.973
0.205 0.911 0.527
0.298 0.468 0.017
0.439 0.916 0.223
0.468 0.298 0.517
0.532 0.702 0.483
0.561 0.084 0.777
0.702 0.532 0.983
0.795 0.089 0.473
0.911 0.205 0.027
0.916 0.439 0.723
0.183 0.348 0.504
0.348 0.183 0.004
0.652 0.817 0.996
0.817 0.652 0.496
0.006 0.994 0.250
0.994 0.006 0.750
0.294 0.706 0.750
0.706 0.294 0.250
```

---

2.
Theoretical X-ray diffraction stick pattern of In12Ga2Bi for λ = 1.5418 Å (Cu Kα), from a structure optimized by DFT (GGA-PBE).

Most intense lines, 2θ from 5° to 70°, sorted by position:
two_theta	d_spacing	I/Imax
28.1	3.174	46
30.5	2.935	25
31.5	2.836	53
32.1	2.787	100
32.7	2.742	51
37.8	2.383	27
39.3	2.293	23
42.3	2.135	49
48.8	1.868	26
67.1	1.394	26

Cell and atoms:
```
In12Ga2Bi
1.0
7.018 0.000 0.000
0.000 9.173 0.000
0.000 0.000 13.180
In Ga Bi
24 4 2
direct
0.011 0.005 0.172
0.011 0.495 0.828
0.116 0.071 0.592
0.116 0.429 0.408
0.250 0.750 0.108
0.250 0.750 0.351
0.250 0.750 0.649
0.250 0.750 0.892
0.384 0.071 0.408
0.384 0.429 0.592
0.489 0.005 0.828
0.489 0.495 0.172
0.511 0.505 0.828
0.511 0.995 0.172
0.616 0.571 0.408
0.616 0.929 0.592
0.750 0.250 0.108
0.750 0.250 0.351
0.750 0.250 0.649
0.750 0.250 0.892
0.884 0.571 0.592
0.884 0.929 0.408
0.989 0.505 0.172
0.989 0.995 0.828
0.250 0.250 0.239
0.250 0.250 0.761
0.750 0.750 0.239
0.750 0.750 0.761
0.250 0.250 0.000
0.750 0.750 0.000
```

---

3.
Theoretical X-ray diffraction stick pattern of CuIr5Rh4 for λ = 1.5418 Å (Cu Kα), from a structure optimized by DFT (GGA-PBE).

Most intense lines, 2θ from 5° to 70°, sorted by position:
two_theta	d_spacing	I/Imax
30.8	2.904	39
32.4	2.761	44
40.7	2.218	44
41.5	2.174	43
42.5	2.125	87
42.7	2.119	100
45.9	1.978	44
47.1	1.928	48
64.6	1.443	18
67.9	1.381	28

Cell and atoms:
```
CuIr5Rh4
1.0
6.785 -1.928 0.000
6.785 1.928 0.000
-3.215 0.000 5.800
Cu Ir Rh
1 5 4
direct
0.000 0.000 0.000
0.000 0.000 0.500
0.320 0.320 0.764
0.328 0.328 0.382
0.672 0.672 0.618
0.680 0.680 0.236
0.173 0.173 0.925
0.484 0.484 0.222
0.516 0.516 0.778
0.827 0.827 0.075
```

---

4.
Theoretical X-ray diffraction stick pattern of Cs3IF2 for λ = 1.5418 Å (Cu Kα), from a structure optimized by DFT (GGA-PBE).

Most intense lines, 2θ from 5° to 70°, sorted by position:
two_theta	d_spacing	I/Imax
23.2	3.827	26
24.8	3.590	11
25.7	3.466	100
29.3	3.044	27
35.5	2.526	16
37.8	2.382	14
42.4	2.133	12
46.7	1.944	14
49.9	1.828	16
52.8	1.733	11

Cell and atoms:
```
Cs3IF2
1.0
5.052 0.000 0.000
0.000 15.310 0.000
0.000 0.000 6.087
Cs I F
6 2 4
direct
0.250 0.038 0.250
0.250 0.250 0.749
0.250 0.462 0.250
0.750 0.538 0.750
0.750 0.750 0.251
0.750 0.962 0.750
0.250 0.750 0.751
0.750 0.250 0.249
0.250 0.059 0.749
0.250 0.441 0.749
0.750 0.559 0.251
0.750 0.941 0.251
```

---

5.
Theoretical X-ray diffraction stick pattern of BaSn2Te3 for λ = 1.5418 Å (Cu Kα), from a structure optimized by DFT (GGA-PBE).

Most intense lines, 2θ from 5° to 70°, sorted by position:
two_theta	d_spacing	I/Imax
26.2	3.398	52
26.8	3.330	100
37.8	2.379	75
38.0	2.365	18
38.4	2.344	20
46.8	1.941	20
47.1	1.930	21
61.2	1.514	15
62.0	1.496	13
69.1	1.360	13

Cell and atoms:
```
BaSn2Te3
1.0
7.476 -3.399 0.000
7.476 3.399 0.000
-2.953 0.000 8.900
Ba Sn Te
2 4 6
direct
0.001 0.999 0.750
0.999 0.001 0.250
0.309 0.365 0.418
0.365 0.309 0.918
0.635 0.691 0.082
0.691 0.635 0.582
0.157 0.205 0.592
0.205 0.157 0.092
0.499 0.501 0.250
0.501 0.499 0.750
0.795 0.843 0.908
0.843 0.795 0.408
```

---

6.
Theoretical X-ray diffraction stick pattern of TmPuPa2N4 for λ = 1.5418 Å (Cu Kα), from a structure optimized by DFT (GGA-PBE).

Most intense lines, 2θ from 5° to 70°, sorted by position:
two_theta	d_spacing	I/Imax
31.3	2.854	38
31.5	2.840	76
31.6	2.829	38
36.5	2.460	100
52.4	1.746	24
52.6	1.739	23
52.8	1.734	23
62.6	1.484	23
62.8	1.480	29
65.8	1.420	12

Cell and atoms:
```
TmPuPa2N4
1.0
6.003 0.000 0.000
0.000 3.477 0.000
-2.025 0.000 5.707
Tm Pu Pa N
1 1 2 4
direct
0.000 0.000 0.000
0.000 0.500 0.500
0.500 0.000 0.500
0.500 0.500 0.000
0.255 0.500 0.244
0.258 0.000 0.761
0.742 0.000 0.239
0.745 0.500 0.756
```

---

7.
Theoretical X-ray diffraction stick pattern of KTl11In for λ = 1.5418 Å (Cu Kα), from a structure optimized by DFT (GGA-PBE).

Most intense lines, 2θ from 5° to 70°, sorted by position:
two_theta	d_spacing	I/Imax
27.3	3.264	32
31.3	2.857	24
31.5	2.841	100
31.6	2.829	32
31.7	2.820	26
35.1	2.553	31
35.3	2.541	67
35.5	2.532	70
35.7	2.518	22
56.3	1.635	22

Cell and atoms:
```
KTl11In
1.0
3.267 -8.023 0.000
3.267 8.023 0.000
-3.151 0.000 8.045
K Tl In
1 11 1
direct
0.000 0.000 0.000
0.000 0.000 0.500
0.000 0.500 0.000
0.006 0.360 0.359
0.291 0.503 0.784
0.360 0.006 0.359
0.497 0.709 0.216
0.500 0.000 0.000
0.503 0.291 0.784
0.640 0.994 0.641
0.709 0.497 0.216
0.994 0.640 0.641
0.500 0.500 0.500
```

---

8.
Theoretical X-ray diffraction stick pattern of Na3CoCl6 for λ = 1.5418 Å (Cu Kα), from a structure optimized by DFT (GGA-PBE).

Most intense lines, 2θ from 5° to 70°, sorted by position:
two_theta	d_spacing	I/Imax
16.0	5.546	69
16.1	5.507	99
22.8	3.908	53
27.9	3.194	42
36.3	2.477	68
36.4	2.466	100
43.2	2.095	56
43.3	2.088	21
49.7	1.836	23
52.5	1.743	26

Cell and atoms:
```
Na3CoCl6
1.0
5.546 3.202 4.481
-5.546 3.202 4.481
0.000 -6.404 4.481
Na Co Cl
6 2 12
direct
0.069 0.584 0.743
0.257 0.931 0.416
0.416 0.257 0.931
0.584 0.743 0.069
0.743 0.069 0.584
0.931 0.416 0.257
0.000 0.000 0.000
0.500 0.500 0.500
0.046 0.940 0.718
0.060 0.282 0.954
0.226 0.563 0.422
0.282 0.954 0.060
0.422 0.226 0.563
0.437 0.578 0.774
0.563 0.422 0.226
0.578 0.774 0.437
0.718 0.046 0.940
0.774 0.437 0.578
0.940 0.718 0.046
0.954 0.060 0.282
```

---

9.
Theoretical X-ray diffraction stick pattern of Np2PaMnN5 for λ = 1.5418 Å (Cu Kα), from a structure optimized by DFT (GGA-PBE).

Most intense lines, 2θ from 5° to 70°, sorted by position:
two_theta	d_spacing	I/Imax
25.7	3.469	61
31.8	2.818	45
32.4	2.763	56
32.7	2.737	100
35.8	2.510	88
45.5	1.993	36
46.0	1.973	52
57.0	1.616	30
61.2	1.515	21
65.0	1.434	24

Cell and atoms:
```
Np2PaMnN5
1.0
6.302 0.000 0.000
0.000 6.302 0.000
0.000 0.000 5.525
Np Pa Mn N
4 2 2 10
direct
0.163 0.337 0.000
0.337 0.837 0.000
0.663 0.163 0.000
0.837 0.663 0.000
0.000 0.000 0.500
0.500 0.500 0.500
0.000 0.500 0.500
0.500 0.000 0.500
0.000 0.000 0.000
0.159 0.659 0.270
0.159 0.659 0.730
0.341 0.159 0.270
0.341 0.159 0.730
0.500 0.500 0.000
0.659 0.841 0.270
0.659 0.841 0.730
0.841 0.341 0.270
0.841 0.341 0.730
```

---

10.
Theoretical X-ray diffraction stick pattern of Ac2SmY6 for λ = 1.5418 Å (Cu Kα), from a structure optimized by DFT (GGA-PBE).

Most intense lines, 2θ from 5° to 70°, sorted by position:
two_theta	d_spacing	I/Imax
8.9	9.948	24
26.0	3.429	24
26.5	3.366	28
30.4	2.940	100
30.8	2.906	60
30.9	2.890	66
32.1	2.790	84
36.6	2.458	48
51.9	1.761	21
52.4	1.746	26

Cell and atoms:
```
Ac2SmY6
1.0
8.848 0.000 0.000
0.000 3.653 0.000
-2.065 0.000 9.948
Ac Sm Y
2 1 6
direct
0.194 0.000 0.463
0.806 0.000 0.537
0.500 0.500 0.000
0.123 0.500 0.783
0.181 0.000 0.099
0.482 0.500 0.325
0.518 0.500 0.675
0.819 0.000 0.901
0.877 0.500 0.217
```

---

11.
Theoretical X-ray diffraction stick pattern of Sm2Er15Sc2 for λ = 1.5418 Å (Cu Kα), from a structure optimized by DFT (GGA-PBE).

Most intense lines, 2θ from 5° to 70°, sorted by position:
two_theta	d_spacing	I/Imax
16.0	5.535	25
27.9	3.199	25
31.2	2.868	25
32.0	2.793	100
32.3	2.768	31
36.0	2.493	49
52.1	1.756	12
56.1	1.640	12
57.5	1.602	16
57.7	1.598	15

Cell and atoms:
```
Sm2Er15Sc2
1.0
5.535 3.196 5.735
-5.535 3.196 5.735
0.000 -6.392 5.735
Sm Er Sc
2 15 2
direct
0.176 0.176 0.176
0.824 0.824 0.824
0.000 0.500 0.500
0.136 0.136 0.645
0.136 0.645 0.136
0.205 0.500 0.795
0.205 0.795 0.500
0.355 0.864 0.864
0.500 0.000 0.500
0.500 0.205 0.795
0.500 0.500 0.000
0.500 0.795 0.205
0.645 0.136 0.136
0.795 0.205 0.500
0.795 0.500 0.205
0.864 0.355 0.864
0.864 0.864 0.355
0.408 0.408 0.408
0.592 0.592 0.592
```

---

12.
Theoretical X-ray diffraction stick pattern of Pm2Ag2PdO6 for λ = 1.5418 Å (Cu Kα), from a structure optimized by DFT (GGA-PBE).

Most intense lines, 2θ from 5° to 70°, sorted by position:
two_theta	d_spacing	I/Imax
14.3	6.183	46
21.5	4.128	22
28.9	3.092	53
30.2	2.960	53
32.3	2.770	100
33.6	2.670	57
44.2	2.047	25
52.5	1.742	25
54.2	1.694	29
55.1	1.668	22

Cell and atoms:
```
Pm2Ag2PdO6
1.0
2.972 -5.284 0.000
2.972 5.284 0.000
-0.564 0.000 6.183
Pm Ag Pd O
2 2 1 6
direct
0.160 0.840 0.000
0.840 0.160 0.000
0.358 0.642 0.500
0.642 0.358 0.500
0.500 0.500 0.000
0.183 0.183 0.837
0.225 0.523 0.174
0.477 0.775 0.826
0.523 0.225 0.174
0.775 0.477 0.826
0.817 0.817 0.163
```